No. 1
The following is a computed X-ray diffraction stick pattern of Ca6IrAu. It was derived from a cell relaxed with GGA-PBE, using CuKα.
Peak positions follow from Bragg's law for the DFT cell and can differ from measured ones.

The 8 most intense peaks (10° ≤ 2θ ≤ 90°), in order of rising 2θ:
5.498 Å, intensity 53; 4.497 Å, intensity 100; 3.610 Å, intensity 22; 3.090 Å, intensity 24; 2.749 Å, intensity 29; 2.424 Å, intensity 66; 2.156 Å, intensity 30; 2.005 Å, intensity 28

Structural model:
```
data_Ca6IrAu
_symmetry_space_group_name_H-M 'P 1'
_symmetry_Int_Tables_number 1
_cell_length_a 6.947
_cell_length_b 6.947
_cell_length_c 13.538
_cell_angle_alpha 90.00
_cell_angle_beta 90.00
_cell_angle_gamma 120.00
loop_
_symmetry_equiv_pos_as_xyz
'x,y,z'
loop_
_atom_site_label
_atom_site_fract_x
_atom_site_fract_y
_atom_site_fract_z
Ca1 0.005 0.327 0.120
Ca2 0.005 0.678 0.380
Ca3 0.322 0.327 0.380
Ca4 0.322 0.995 0.120
Ca5 0.327 0.005 0.620
Ca6 0.327 0.322 0.880
Ca7 0.673 0.678 0.120
Ca8 0.673 0.995 0.380
Ca9 0.678 0.005 0.880
Ca10 0.678 0.673 0.620
Ca11 0.995 0.322 0.620
Ca12 0.995 0.673 0.880
Ir1 0.000 0.000 0.000
Ir2 0.000 0.000 0.500
Au1 0.333 0.667 0.750
Au2 0.667 0.333 0.250
```


No. 2
The following is a computed X-ray diffraction stick pattern of K2Ge3Pt. It was derived from a cell relaxed with GGA-PBE, using CuKα.
Peak positions follow from Bragg's law for the DFT cell and can differ from measured ones.

The 8 most intense peaks (10° ≤ 2θ ≤ 90°), in order of rising 2θ:
5.352 Å, intensity 85; 3.983 Å, intensity 19; 3.052 Å, intensity 100; 2.676 Å, intensity 34; 2.145 Å, intensity 54; 1.991 Å, intensity 40; 1.755 Å, intensity 19; 1.674 Å, intensity 48

Structural model:
```
data_K2Ge3Pt
_symmetry_space_group_name_H-M 'P 1'
_symmetry_Int_Tables_number 1
_cell_length_a 9.162
_cell_length_b 8.583
_cell_length_c 6.857
_cell_angle_alpha 71.80
_cell_angle_beta 62.88
_cell_angle_gamma 45.32
loop_
_symmetry_equiv_pos_as_xyz
'x,y,z'
loop_
_atom_site_label
_atom_site_fract_x
_atom_site_fract_y
_atom_site_fract_z
K1 0.243 0.757 0.243
K2 0.250 0.250 0.250
K3 0.750 0.750 0.750
K4 0.757 0.243 0.757
Ge1 0.159 0.671 0.841
Ge2 0.329 0.841 0.671
Ge3 0.330 0.330 0.670
Ge4 0.670 0.670 0.330
Ge5 0.671 0.159 0.329
Ge6 0.841 0.329 0.159
Pt1 0.167 0.167 0.833
Pt2 0.833 0.833 0.167
```


No. 3
The following is a computed X-ray diffraction stick pattern of Al3Zn2Ag7. It was derived from a cell relaxed with GGA-PBE, using CuKα.
Peak positions follow from Bragg's law for the DFT cell and can differ from measured ones.

The 8 most intense peaks (10° ≤ 2θ ≤ 90°), in order of rising 2θ:
4.544 Å, intensity 62; 2.806 Å, intensity 47; 2.450 Å, intensity 58; 2.382 Å, intensity 80; 2.320 Å, intensity 100; 2.272 Å, intensity 87; 2.168 Å, intensity 63; 2.076 Å, intensity 92

Structural model:
```
data_Al3Zn2Ag7
_symmetry_space_group_name_H-M 'P 1'
_symmetry_Int_Tables_number 1
_cell_length_a 5.263
_cell_length_b 2.867
_cell_length_c 13.714
_cell_angle_alpha 90.00
_cell_angle_beta 96.24
_cell_angle_gamma 90.00
loop_
_symmetry_equiv_pos_as_xyz
'x,y,z'
loop_
_atom_site_label
_atom_site_fract_x
_atom_site_fract_y
_atom_site_fract_z
Al1 0.000 0.000 0.000
Al2 0.051 0.500 0.659
Al3 0.949 0.500 0.341
Zn1 0.411 0.000 0.327
Zn2 0.589 0.000 0.673
Ag1 0.203 0.500 0.164
Ag2 0.252 0.000 0.511
Ag3 0.281 0.000 0.820
Ag4 0.500 0.500 0.000
Ag5 0.719 0.000 0.180
Ag6 0.748 0.000 0.489
Ag7 0.797 0.500 0.836
```


No. 4
The following is a computed X-ray diffraction stick pattern of ZnB2H8. It was derived from a cell relaxed with GGA-PBE, using CuKα.
Peak positions follow from Bragg's law for the DFT cell and can differ from measured ones.

The 8 most intense peaks (10° ≤ 2θ ≤ 90°), in order of rising 2θ:
4.557 Å, intensity 100; 4.201 Å, intensity 36; 4.047 Å, intensity 32; 3.089 Å, intensity 51; 2.424 Å, intensity 18; 2.100 Å, intensity 27; 2.003 Å, intensity 17; 1.908 Å, intensity 17

Structural model:
```
data_ZnB2H8
_symmetry_space_group_name_H-M 'P 1'
_symmetry_Int_Tables_number 1
_cell_length_a 4.201
_cell_length_b 5.513
_cell_length_c 8.095
_cell_angle_alpha 90.00
_cell_angle_beta 90.00
_cell_angle_gamma 90.00
loop_
_symmetry_equiv_pos_as_xyz
'x,y,z'
loop_
_atom_site_label
_atom_site_fract_x
_atom_site_fract_y
_atom_site_fract_z
Zn1 0.000 0.203 0.000
Zn2 0.000 0.797 0.500
B1 0.000 0.036 0.738
B2 0.000 0.964 0.238
B3 0.500 0.409 0.967
B4 0.500 0.591 0.467
H1 0.000 0.080 0.369
H2 0.000 0.258 0.745
H3 0.000 0.742 0.245
H4 0.000 0.920 0.869
H5 0.251 0.018 0.170
H6 0.251 0.982 0.670
H7 0.279 0.449 0.067
H8 0.279 0.551 0.567
H9 0.500 0.201 0.915
H10 0.500 0.446 0.356
H11 0.500 0.554 0.856
H12 0.500 0.799 0.415
H13 0.721 0.449 0.067
H14 0.721 0.551 0.567
H15 0.749 0.018 0.170
H16 0.749 0.982 0.670
```


No. 5
The following is a computed X-ray diffraction stick pattern of KRb5Zn4Sn5S17. It was derived from a cell relaxed with GGA-PBE, using CuKα.
Peak positions follow from Bragg's law for the DFT cell and can differ from measured ones.

The 8 most intense peaks (10° ≤ 2θ ≤ 90°), in order of rising 2θ:
8.181 Å, intensity 100; 4.090 Å, intensity 30; 3.537 Å, intensity 82; 3.337 Å, intensity 49; 2.725 Å, intensity 30; 2.674 Å, intensity 30; 2.543 Å, intensity 28; 1.770 Å, intensity 38

Structural model:
```
data_KRb5Zn4Sn5S17
_symmetry_space_group_name_H-M 'P 1'
_symmetry_Int_Tables_number 1
_cell_length_a 10.032
_cell_length_b 11.180
_cell_length_c 11.184
_cell_angle_alpha 78.30
_cell_angle_beta 63.37
_cell_angle_gamma 63.35
loop_
_symmetry_equiv_pos_as_xyz
'x,y,z'
loop_
_atom_site_label
_atom_site_fract_x
_atom_site_fract_y
_atom_site_fract_z
K1 0.000 0.000 0.000
Rb1 0.258 0.002 0.485
Rb2 0.264 0.485 0.989
Rb3 0.738 0.515 0.011
Rb4 0.745 0.998 0.515
Rb5 0.836 0.501 0.499
Zn1 0.229 0.137 0.134
Zn2 0.500 0.863 0.866
Zn3 0.635 0.866 0.137
Zn4 0.638 0.134 0.862
Sn1 0.262 0.500 0.500
Sn2 0.282 0.781 0.224
Sn3 0.287 0.219 0.776
Sn4 0.497 0.226 0.220
Sn5 0.943 0.774 0.779
S1 0.084 0.008 0.273
S2 0.086 0.273 0.002
S3 0.117 0.648 0.363
S4 0.128 0.352 0.637
S5 0.214 0.282 0.274
S6 0.243 0.642 0.652
S7 0.362 0.727 0.998
S8 0.365 0.991 0.727
S9 0.500 0.000 0.000
S10 0.506 0.726 0.282
S11 0.513 0.274 0.718
S12 0.536 0.358 0.349
S13 0.641 0.998 0.273
S14 0.645 0.273 0.991
S15 0.769 0.718 0.726
S16 0.909 0.727 0.008
S17 0.912 0.002 0.727
```


No. 6
The following is a computed X-ray diffraction stick pattern of HoCu4Ge2. It was derived from a cell relaxed with GGA-PBE, using CuKα.
Peak positions follow from Bragg's law for the DFT cell and can differ from measured ones.

The 8 most intense peaks (10° ≤ 2θ ≤ 90°), in order of rising 2θ:
3.538 Å, intensity 18; 3.009 Å, intensity 27; 2.787 Å, intensity 18; 2.373 Å, intensity 90; 2.192 Å, intensity 25; 2.069 Å, intensity 100; 1.559 Å, intensity 23; 1.245 Å, intensity 21

Structural model:
```
data_HoCu4Ge2
_symmetry_space_group_name_H-M 'P 1'
_symmetry_Int_Tables_number 1
_cell_length_a 7.765
_cell_length_b 7.765
_cell_length_c 7.765
_cell_angle_alpha 30.90
_cell_angle_beta 30.90
_cell_angle_gamma 30.90
loop_
_symmetry_equiv_pos_as_xyz
'x,y,z'
loop_
_atom_site_label
_atom_site_fract_x
_atom_site_fract_y
_atom_site_fract_z
Ho1 0.000 0.000 0.000
Cu1 0.141 0.141 0.141
Cu2 0.436 0.436 0.436
Cu3 0.564 0.564 0.564
Cu4 0.859 0.859 0.859
Ge1 0.254 0.254 0.254
Ge2 0.746 0.746 0.746
```


No. 7
The following is a computed X-ray diffraction stick pattern of Pm8Sm3Mg. It was derived from a cell relaxed with GGA-PBE, using CuKα.
Peak positions follow from Bragg's law for the DFT cell and can differ from measured ones.

The 8 most intense peaks (10° ≤ 2θ ≤ 90°), in order of rising 2θ:
2.952 Å, intensity 100; 2.945 Å, intensity 99; 2.557 Å, intensity 68; 2.547 Å, intensity 33; 1.808 Å, intensity 48; 1.802 Å, intensity 24; 1.543 Å, intensity 22; 1.540 Å, intensity 36

Structural model:
```
data_Pm8Sm3Mg
_symmetry_space_group_name_H-M 'P 1'
_symmetry_Int_Tables_number 1
_cell_length_a 6.256
_cell_length_b 6.271
_cell_length_c 10.805
_cell_angle_alpha 73.16
_cell_angle_beta 89.84
_cell_angle_gamma 80.47
loop_
_symmetry_equiv_pos_as_xyz
'x,y,z'
loop_
_atom_site_label
_atom_site_fract_x
_atom_site_fract_y
_atom_site_fract_z
Pm1 0.000 0.000 0.000
Pm2 0.005 0.000 0.665
Pm3 0.249 0.497 0.253
Pm4 0.254 0.503 0.914
Pm5 0.498 0.000 0.502
Pm6 0.504 0.001 0.167
Pm7 0.749 0.498 0.420
Pm8 0.755 0.503 0.746
Sm1 0.507 0.004 0.831
Sm2 0.752 0.500 0.083
Sm3 0.996 0.997 0.336
Mg1 0.251 0.500 0.584
```


No. 8
The following is a computed X-ray diffraction stick pattern of Ag3GeF7. It was derived from a cell relaxed with GGA-PBE, using CuKα.
Peak positions follow from Bragg's law for the DFT cell and can differ from measured ones.

The 8 most intense peaks (10° ≤ 2θ ≤ 90°), in order of rising 2θ:
3.762 Å, intensity 90; 3.034 Å, intensity 100; 2.908 Å, intensity 34; 2.791 Å, intensity 40; 2.586 Å, intensity 15; 2.296 Å, intensity 28; 2.084 Å, intensity 50; 1.677 Å, intensity 17

Structural model:
```
data_Ag3GeF7
_symmetry_space_group_name_H-M 'P 1'
_symmetry_Int_Tables_number 1
_cell_length_a 5.727
_cell_length_b 5.727
_cell_length_c 5.956
_cell_angle_alpha 112.02
_cell_angle_beta 112.02
_cell_angle_gamma 81.71
loop_
_symmetry_equiv_pos_as_xyz
'x,y,z'
loop_
_atom_site_label
_atom_site_fract_x
_atom_site_fract_y
_atom_site_fract_z
Ag1 0.000 0.000 0.000
Ag2 0.278 0.820 0.427
Ag3 0.820 0.278 0.427
Ge1 0.542 0.542 0.954
F1 0.045 0.045 0.656
F2 0.220 0.569 0.748
F3 0.436 0.436 0.161
F4 0.518 0.869 0.170
F5 0.569 0.220 0.748
F6 0.663 0.663 0.772
F7 0.869 0.518 0.170
```


No. 9
The following is a computed X-ray diffraction stick pattern of Tm3CoSn3. It was derived from a cell relaxed with GGA-PBE, using CuKα.
Peak positions follow from Bragg's law for the DFT cell and can differ from measured ones.

The 8 most intense peaks (10° ≤ 2θ ≤ 90°), in order of rising 2θ:
2.859 Å, intensity 66; 2.817 Å, intensity 100; 2.795 Å, intensity 54; 2.731 Å, intensity 55; 2.470 Å, intensity 44; 2.320 Å, intensity 68; 2.311 Å, intensity 47; 2.191 Å, intensity 64

Structural model:
```
data_Tm3CoSn3
_symmetry_space_group_name_H-M 'P 1'
_symmetry_Int_Tables_number 1
_cell_length_a 5.890
_cell_length_b 5.890
_cell_length_c 14.711
_cell_angle_alpha 108.08
_cell_angle_beta 108.08
_cell_angle_gamma 43.67
loop_
_symmetry_equiv_pos_as_xyz
'x,y,z'
loop_
_atom_site_label
_atom_site_fract_x
_atom_site_fract_y
_atom_site_fract_z
Tm1 0.018 0.018 0.382
Tm2 0.095 0.095 0.921
Tm3 0.239 0.239 0.242
Tm4 0.761 0.761 0.758
Tm5 0.905 0.905 0.079
Tm6 0.982 0.982 0.618
Co1 0.255 0.255 0.614
Co2 0.745 0.745 0.386
Sn1 0.346 0.346 0.463
Sn2 0.369 0.369 0.922
Sn3 0.473 0.473 0.761
Sn4 0.527 0.527 0.239
Sn5 0.631 0.631 0.078
Sn6 0.654 0.654 0.537
```


No. 10
The following is a computed X-ray diffraction stick pattern of RbCr2S4. It was derived from a cell relaxed with GGA-PBE, using CuKα.
Peak positions follow from Bragg's law for the DFT cell and can differ from measured ones.

The 8 most intense peaks (10° ≤ 2θ ≤ 90°), in order of rising 2θ:
7.855 Å, intensity 84; 4.934 Å, intensity 31; 4.175 Å, intensity 23; 3.927 Å, intensity 28; 2.753 Å, intensity 34; 2.454 Å, intensity 100; 2.246 Å, intensity 22; 2.091 Å, intensity 55

Structural model:
```
data_RbCr2S4
_symmetry_space_group_name_H-M 'P 1'
_symmetry_Int_Tables_number 1
_cell_length_a 8.163
_cell_length_b 8.163
_cell_length_c 5.592
_cell_angle_alpha 99.91
_cell_angle_beta 99.91
_cell_angle_gamma 24.36
loop_
_symmetry_equiv_pos_as_xyz
'x,y,z'
loop_
_atom_site_label
_atom_site_fract_x
_atom_site_fract_y
_atom_site_fract_z
Rb1 0.000 0.000 0.000
Cr1 0.252 0.252 0.294
Cr2 0.748 0.748 0.706
S1 0.155 0.155 0.543
S2 0.324 0.324 0.948
S3 0.676 0.676 0.052
S4 0.845 0.845 0.457
```


No. 11
The following is a computed X-ray diffraction stick pattern of Mg15Cr. It was derived from a cell relaxed with GGA-PBE, using CuKα.
Peak positions follow from Bragg's law for the DFT cell and can differ from measured ones.

The 8 most intense peaks (10° ≤ 2θ ≤ 90°), in order of rising 2θ:
2.730 Å, intensity 24; 2.592 Å, intensity 27; 2.416 Å, intensity 100; 1.880 Å, intensity 15; 1.576 Å, intensity 17; 1.460 Å, intensity 19; 1.347 Å, intensity 19; 1.320 Å, intensity 13

Structural model:
```
data_Mg15Cr
_symmetry_space_group_name_H-M 'P 1'
_symmetry_Int_Tables_number 1
_cell_length_a 6.306
_cell_length_b 6.306
_cell_length_c 10.369
_cell_angle_alpha 90.00
_cell_angle_beta 90.00
_cell_angle_gamma 120.00
loop_
_symmetry_equiv_pos_as_xyz
'x,y,z'
loop_
_atom_site_label
_atom_site_fract_x
_atom_site_fract_y
_atom_site_fract_z
Mg1 0.000 0.000 0.000
Mg2 0.002 0.501 0.000
Mg3 0.164 0.328 0.257
Mg4 0.164 0.328 0.743
Mg5 0.164 0.836 0.257
Mg6 0.164 0.836 0.743
Mg7 0.499 0.501 0.000
Mg8 0.499 0.998 0.000
Mg9 0.501 0.002 0.500
Mg10 0.501 0.499 0.500
Mg11 0.667 0.333 0.249
Mg12 0.667 0.333 0.751
Mg13 0.672 0.836 0.257
Mg14 0.672 0.836 0.743
Mg15 0.998 0.499 0.500
Cr1 0.000 0.000 0.500
```


No. 12
The following is a computed X-ray diffraction stick pattern of Sc4Al12Cu. It was derived from a cell relaxed with GGA-PBE, using CuKα.
Peak positions follow from Bragg's law for the DFT cell and can differ from measured ones.

The 8 most intense peaks (10° ≤ 2θ ≤ 90°), in order of rising 2θ:
2.964 Å, intensity 36; 2.651 Å, intensity 19; 2.420 Å, intensity 100; 2.241 Å, intensity 27; 2.096 Å, intensity 84; 1.788 Å, intensity 15; 1.482 Å, intensity 48; 1.264 Å, intensity 28

Structural model:
```
data_Sc4Al12Cu
_symmetry_space_group_name_H-M 'P 1'
_symmetry_Int_Tables_number 1
_cell_length_a 7.261
_cell_length_b 7.261
_cell_length_c 7.261
_cell_angle_alpha 109.47
_cell_angle_beta 109.47
_cell_angle_gamma 109.47
loop_
_symmetry_equiv_pos_as_xyz
'x,y,z'
loop_
_atom_site_label
_atom_site_fract_x
_atom_site_fract_y
_atom_site_fract_z
Sc1 0.000 0.000 0.500
Sc2 0.000 0.500 0.000
Sc3 0.500 0.000 0.000
Sc4 0.500 0.500 0.500
Al1 0.000 0.288 0.288
Al2 0.000 0.712 0.712
Al3 0.250 0.500 0.750
Al4 0.250 0.750 0.500
Al5 0.288 0.000 0.288
Al6 0.288 0.288 0.000
Al7 0.500 0.250 0.750
Al8 0.500 0.750 0.250
Al9 0.712 0.000 0.712
Al10 0.712 0.712 0.000
Al11 0.750 0.250 0.500
Al12 0.750 0.500 0.250
Cu1 0.000 0.000 0.000
```